1.
Starting from a DFT-relaxed cell (PBE, the Materials Project), the XRD peak list of SnCl4O5 was computed for Cu Ka.
No peak broadening, texture or thermal motion is included.

Cell and atoms:
```
SnCl4O5
1.0
5.993 -4.568 0.000
5.993 4.568 0.000
-2.603 0.000 8.799
Sn Cl O
2 8 10
Direct
0.236 0.764 0.750 Sn
0.764 0.236 0.250 Sn
0.033 0.204 0.440 Cl
0.148 0.539 0.868 Cl
0.204 0.033 0.940 Cl
0.461 0.852 0.632 Cl
0.539 0.148 0.368 Cl
0.796 0.967 0.060 Cl
0.852 0.461 0.132 Cl
0.967 0.796 0.560 Cl
0.281 0.565 0.294 O
0.286 0.714 0.250 O
0.325 0.471 0.657 O
0.435 0.719 0.206 O
0.471 0.325 0.157 O
0.529 0.675 0.843 O
0.565 0.281 0.794 O
0.675 0.529 0.343 O
0.714 0.286 0.750 O
0.719 0.435 0.706 O
```

The 10 most intense peaks (10 to 90 degrees two-theta), by angle:
d/Å	intensity
6.102	100
5.747	64
5.125	84
4.568	36
4.399	29
4.099	32
3.538	29
3.169	38
2.733	27
2.562	47



2.
Starting from a DFT-relaxed cell (PBE, the Materials Project), the XRD peak list of MgAl was computed for Cu Ka.
No peak broadening, texture or thermal motion is included.

Cell and atoms:
```
MgAl
1.0
3.023 0.000 0.000
-1.511 2.618 0.000
0.000 0.000 4.920
Mg Al
1 1
Direct
0.000 0.000 0.000 Mg
0.333 0.667 0.500 Al
```

The 10 most intense peaks (10 to 90 degrees two-theta), by angle:
d/Å	intensity
2.618	24
2.460	27
2.311	100
1.793	15
1.511	17
1.390	19
1.288	19
1.265	14
1.155	3
1.113	3



3.
Starting from a DFT-relaxed cell (PBE, the Materials Project), the XRD peak list of Si was computed for Cu Ka.
No peak broadening, texture or thermal motion is included.

Cell and atoms:
```
Si
1.0
0.000 7.370 7.370
7.370 0.000 7.370
7.370 7.370 0.000
Si
34
Direct
0.125 0.125 0.125 Si
0.128 0.128 0.505 Si
0.128 0.128 0.739 Si
0.128 0.505 0.128 Si
0.128 0.505 0.739 Si
0.128 0.739 0.128 Si
0.128 0.739 0.505 Si
0.206 0.765 0.765 Si
0.235 0.235 0.235 Si
0.235 0.235 0.794 Si
0.235 0.794 0.235 Si
0.261 0.495 0.872 Si
0.261 0.872 0.495 Si
0.261 0.872 0.872 Si
0.495 0.261 0.872 Si
0.495 0.872 0.261 Si
0.495 0.872 0.872 Si
0.505 0.128 0.128 Si
0.505 0.128 0.739 Si
0.505 0.739 0.128 Si
0.739 0.128 0.128 Si
0.739 0.128 0.505 Si
0.739 0.505 0.128 Si
0.765 0.206 0.765 Si
0.765 0.765 0.206 Si
0.765 0.765 0.765 Si
0.794 0.235 0.235 Si
0.872 0.261 0.495 Si
0.872 0.261 0.872 Si
0.872 0.495 0.261 Si
0.872 0.495 0.872 Si
0.872 0.872 0.261 Si
0.872 0.872 0.495 Si
0.875 0.875 0.875 Si
```

The 10 most intense peaks (10 to 90 degrees two-theta), by angle:
d/Å	intensity
8.510	91
5.211	58
4.255	55
3.009	24
2.837	100
2.606	36
2.064	64
1.737	83
1.648	19
1.195	16



4.
Starting from a DFT-relaxed cell (PBE, the Materials Project), the XRD peak list of SmAgAu2 was computed for Cu Ka.
No peak broadening, texture or thermal motion is included.

Cell and atoms:
```
SmAgAu2
1.0
7.019 0.000 0.000
0.000 7.019 0.000
0.000 0.000 7.019
Sm Ag Au
4 4 8
Direct
0.000 0.000 0.000 Sm
0.000 0.500 0.500 Sm
0.500 0.000 0.500 Sm
0.500 0.500 0.000 Sm
0.000 0.000 0.500 Ag
0.000 0.500 0.000 Ag
0.500 0.000 0.000 Ag
0.500 0.500 0.500 Ag
0.250 0.250 0.250 Au
0.250 0.250 0.750 Au
0.250 0.750 0.250 Au
0.250 0.750 0.750 Au
0.750 0.250 0.250 Au
0.750 0.250 0.750 Au
0.750 0.750 0.250 Au
0.750 0.750 0.750 Au
```

The 10 most intense peaks (10 to 90 degrees two-theta), by angle:
d/Å	intensity
4.052	1
3.509	5
2.481	100
2.026	2
1.755	18
1.569	2
1.433	36
1.241	11
1.170	1
1.110	17



5.
Starting from a DFT-relaxed cell (PBE, the Materials Project), the XRD peak list of KPO3 was computed for Cu Ka.
No peak broadening, texture or thermal motion is included.

Cell and atoms:
```
KPO3
1.0
4.505 0.000 0.000
0.000 5.937 0.000
0.000 0.000 12.807
K P O
4 4 12
Direct
0.231 0.250 0.089 K
0.269 0.750 0.589 K
0.731 0.250 0.411 K
0.769 0.750 0.911 K
0.186 0.750 0.327 P
0.314 0.250 0.827 P
0.686 0.750 0.173 P
0.814 0.250 0.673 P
0.160 0.250 0.712 O
0.242 0.532 0.383 O
0.242 0.968 0.383 O
0.258 0.032 0.883 O
0.258 0.468 0.883 O
0.340 0.750 0.212 O
0.660 0.250 0.788 O
0.742 0.532 0.117 O
0.742 0.968 0.117 O
0.758 0.032 0.617 O
0.758 0.468 0.617 O
0.840 0.750 0.288 O
```

The 10 most intense peaks (10 to 90 degrees two-theta), by angle:
d/Å	intensity
5.386	33
3.459	100
3.202	20
2.969	14
2.747	10
2.312	20
2.252	19
1.960	13
1.795	14
1.344	11



6.
Starting from a DFT-relaxed cell (PBE, the Materials Project), the XRD peak list of ZnCr2S4 was computed for Cu Ka.
No peak broadening, texture or thermal motion is included.

Cell and atoms:
```
ZnCr2S4
1.0
0.000 5.022 5.022
5.022 0.000 5.022
5.022 5.022 0.000
Zn Cr S
2 4 8
Direct
0.125 0.125 0.125 Zn
0.875 0.875 0.875 Zn
0.000 0.500 0.500 Cr
0.500 0.000 0.500 Cr
0.500 0.500 0.000 Cr
0.500 0.500 0.500 Cr
0.261 0.261 0.261 S
0.261 0.261 0.718 S
0.261 0.718 0.261 S
0.282 0.739 0.739 S
0.718 0.261 0.261 S
0.739 0.282 0.739 S
0.739 0.739 0.282 S
0.739 0.739 0.739 S
```

The 10 most intense peaks (10 to 90 degrees two-theta), by angle:
d/Å	intensity
3.551	41
3.028	100
2.511	39
2.050	15
1.933	50
1.775	86
1.532	12
1.308	17
1.255	12
1.160	12



7.
Starting from a DFT-relaxed cell (PBE, the Materials Project), the XRD peak list of Ag2S was computed for Cu Ka.
No peak broadening, texture or thermal motion is included.

Cell and atoms:
```
Ag2S
1.0
4.257 0.000 0.000
0.000 6.506 0.000
-1.068 0.000 4.602
Ag S
4 2
Direct
0.030 0.000 0.022 Ag
0.360 0.367 0.570 Ag
0.640 0.867 0.430 Ag
0.970 0.500 0.978 Ag
0.215 0.753 0.711 S
0.785 0.253 0.289 S
```

The 10 most intense peaks (10 to 90 degrees two-theta), by angle:
d/Å	intensity
3.498	50
3.253	46
3.082	58
2.784	100
2.656	84
2.559	62
2.382	47
2.116	55
1.976	42
1.749	34



8.
Starting from a DFT-relaxed cell (PBE, the Materials Project), the XRD peak list of Te2Ir was computed for Cu Ka.
No peak broadening, texture or thermal motion is included.

Cell and atoms:
```
Te2Ir
1.0
13.587 0.000 0.000
0.000 4.050 0.000
0.000 0.000 5.442
Te Ir
8 4
Direct
0.051 0.250 0.232 Te
0.192 0.250 0.700 Te
0.308 0.750 0.200 Te
0.449 0.750 0.732 Te
0.551 0.250 0.268 Te
0.692 0.250 0.800 Te
0.808 0.750 0.300 Te
0.949 0.750 0.768 Te
0.134 0.750 0.980 Ir
0.366 0.250 0.480 Ir
0.634 0.750 0.520 Ir
0.866 0.250 0.020 Ir
```

The 10 most intense peaks (10 to 90 degrees two-theta), by angle:
d/Å	intensity
5.052	68
3.160	84
2.931	80
2.882	65
2.143	100
2.124	24
2.084	32
2.024	46
1.977	60
1.657	25



9.
Starting from a DFT-relaxed cell (PBE, the Materials Project), the XRD peak list of ScBe5 was computed for Cu Ka.
No peak broadening, texture or thermal motion is included.

Cell and atoms:
```
ScBe5
1.0
4.517 0.000 0.000
-2.259 3.912 0.000
0.000 0.000 3.528
Sc Be
1 5
Direct
0.000 0.000 0.000 Sc
0.000 0.500 0.500 Be
0.333 0.667 0.000 Be
0.500 0.000 0.500 Be
0.500 0.500 0.500 Be
0.667 0.333 0.000 Be
```

The 10 most intense peaks (10 to 90 degrees two-theta), by angle:
d/Å	intensity
3.912	72
3.528	28
2.620	100
2.259	41
1.956	31
1.902	70
1.390	15
1.364	21
1.310	15
1.223	15